Calculated X-ray powder pattern of Li2NpCdSe4 for Cu Ka, from a structure optimized by DFT (GGA-PBE).
Neutral-atom scattering factors, no anomalous dispersion.

Cell and atoms:
```
data_Li2NpCdSe4
_chemical_formula_sum 'Li2 Np1 Cd1 Se4'
_symmetry_space_group_name_H-M 'P 1'
_symmetry_Int_Tables_number 1
_symmetry_space_group_name_Hall 'P 1'
_cell_length_a 6.880
_cell_length_b 4.064
_cell_length_c 6.927
_cell_angle_alpha 90.00
_cell_angle_beta 109.96
_cell_angle_gamma 90.00
loop_
_atom_site_label
_atom_site_type_symbol
_atom_site_fract_x
_atom_site_fract_y
_atom_site_fract_z
_atom_site_occupancy
Li1 Li 0.000 0.000 0.000 1
Li2 Li 0.500 0.500 0.000 1
Np1 Np 0.000 0.500 0.500 1
Cd1 Cd 0.500 0.000 0.500 1
Se1 Se 0.242 0.000 0.760 1
Se2 Se 0.250 0.500 0.252 1
Se3 Se 0.750 0.500 0.748 1
Se4 Se 0.758 0.000 0.240 1
```

Principal peaks in the range 2θ from 10° to 80°, in order of rising 2θ:
| 2theta | I/Imax | index |
| --- | --- | --- |
| 13.6 | 952 | 0 0 1 |
| 25.9 | 444 | 1 1 0 |
| 26.3 | 223 | 2 0 -1 |
| 31.5 | 1000 | 1 1 1 |
| 31.7 | 490 | 2 0 -2 |
| 34.3 | 225 | 1 1 -2 |
| 44.6 | 191 | 0 2 0 |
| 45.2 | 364 | 1 1 -3 |
| 45.4 | 359 | 3 1 -1 |
| 55.7 | 195 | 2 2 -2 |